# 1
Ac2Mg5In3: simulated powder XRD pattern (Cu Kα (λ = 1.5418 Å)), based on a cell relaxed with GGA-PBE.
Neutral-atom scattering factors, no anomalous dispersion.

Principal peaks in the range 2θ = 10–90°, low angle first:
| 2theta | Rel. int. | h k l |
| --- | --- | --- |
| 13.6 | 29 | 0 0 2 |
| 20.1 | 30 | 1 0 1 |
| 26.9 | 40 | 1 1 0 |
| 28.0 | 82 | 1 0 3 |
| 30.3 | 100 | 1 1 2 |
| 38.4 | 47 | 2 0 0 |
| 39.7 | 50 | 1 0 5 |
| 48.2 | 38 | 2 1 3 |
| 56.4 | 36 | 2 1 5 |
| 64.5 | 24 | 3 1 2 |

Structural model:
```
data_Ac2Mg5In3
_chemical_formula_sum 'Ac2 Mg5 In3'
_cell_length_a 4.6885
_cell_length_b 4.6885
_cell_length_c 12.9913
_cell_angle_alpha 90.00
_cell_angle_beta 90.00
_cell_angle_gamma 90.00
_symmetry_space_group_name_H-M 'P -4 m 2'
_symmetry_Int_Tables_number 115
loop_
_symmetry_equiv_pos_as_xyz
'x,y,z'
'y,-x,-z'
'-x,-y,z'
'-y,x,-z'
'-x,y,z'
'-y,-x,-z'
'x,-y,z'
'y,x,-z'
loop_
_atom_site_label
_atom_site_fract_x
_atom_site_fract_y
_atom_site_fract_z
Ac1 0.0000 0.5000 0.2396
Mg1 0.0000 0.0000 0.5000
Mg2 0.0000 0.5000 0.6425
Mg3 0.5000 0.5000 0.0000
Mg4 0.5000 0.5000 0.5000
In1 0.0000 0.0000 0.0000
In2 0.0000 0.5000 0.8586
```

---

# 2
TbPmHoAl: simulated powder XRD pattern (Cu Kα (λ = 1.5418 Å)), based on a cell relaxed with GGA-PBE.
Neutral-atom scattering factors, no anomalous dispersion.

Principal peaks in the range 2θ = 10–90°, low angle first:
| 2theta | Rel. int. | h k l |
| --- | --- | --- |
| 27.1 | 29 | 1 0 1 |
| 29.5 | 17 | 0 0 3 |
| 32.1 | 100 | 1 0 2 |
| 36.0 | 43 | 1 1 0 |
| 47.2 | 19 | 1 1 3 |
| 51.8 | 15 | 2 0 0 |
| 54.6 | 13 | 1 1 4 |
| 57.0 | 17 | 1 0 5 |
| 62.3 | 30 | 2 1 2 |
| 80.6 | 13 | 2 1 5 |

Structural model:
```
data_TbPmHoAl
_chemical_formula_sum 'Tb1 Pm1 Ho1 Al1'
_cell_length_a 3.5281
_cell_length_b 3.5281
_cell_length_c 9.0947
_cell_angle_alpha 90.00
_cell_angle_beta 90.00
_cell_angle_gamma 90.00
_symmetry_space_group_name_H-M 'P 4 m m'
_symmetry_Int_Tables_number 99
loop_
_symmetry_equiv_pos_as_xyz
'x,y,z'
'-y,x,z'
'-x,-y,z'
'y,-x,z'
'-x,y,z'
'y,x,z'
'x,-y,z'
'-y,-x,z'
loop_
_atom_site_label
_atom_site_fract_x
_atom_site_fract_y
_atom_site_fract_z
Tb1 0.0000 0.0000 0.0000
Pm1 0.5000 0.5000 0.2920
Ho1 0.0000 0.0000 0.5792
Al1 0.5000 0.5000 0.7876
```

---

# 3
CaPm3Au4: simulated powder XRD pattern (Cu Kα (λ = 1.5418 Å)), based on a cell relaxed with GGA-PBE.
Neutral-atom scattering factors, no anomalous dispersion.

Principal peaks in the range 2θ = 10–90°, low angle first:
| 2theta | Rel. int. | h k l |
| --- | --- | --- |
| 17.1 | 4 | 1 1 0 |
| 24.2 | 7 | 2 0 0 |
| 29.8 | 2 | 2 1 1 |
| 34.5 | 100 | 2 2 0 |
| 42.6 | 2 | 2 2 2 |
| 49.6 | 18 | 4 0 0 |
| 55.9 | 3 | 4 2 0 |
| 61.8 | 37 | 4 2 2 |
| 72.7 | 12 | 4 4 0 |
| 83.1 | 17 | 6 2 0 |

Structural model:
```
data_CaPm3Au4
_chemical_formula_sum 'Ca2 Pm6 Au8'
_cell_length_a 7.3538
_cell_length_b 7.3538
_cell_length_c 7.3538
_cell_angle_alpha 90.00
_cell_angle_beta 90.00
_cell_angle_gamma 90.00
_symmetry_space_group_name_H-M 'I m -3 m'
_symmetry_Int_Tables_number 229
_symmetry_space_group_name_Hall '-I 4 2 3'
loop_
_atom_site_label
_atom_site_fract_x
_atom_site_fract_y
_atom_site_fract_z
Ca1 0.0000 0.0000 0.0000
Pm1 0.0000 0.0000 0.5000
Au1 0.2500 0.2500 0.2500
```

---

# 4
P4S7: simulated powder XRD pattern (Cu Kα (λ = 1.5418 Å)), based on a cell relaxed with GGA-PBE.
Neutral-atom scattering factors, no anomalous dispersion.

Principal peaks in the range 2θ = 10–90°, low angle first:
| 2theta | Rel. int. | h k l |
| --- | --- | --- |
| 12.8 | 50 | 1 1 -1 |
| 13.2 | 100 | 0 2 1 |
| 15.0 | 50 | 1 1 0 |
| 15.8 | 21 | 1 0 -2 |
| 17.1 | 30 | 1 2 0 |
| 18.6 | 34 | 1 3 -1 |
| 26.5 | 31 | 0 4 2 |
| 27.0 | 21 | 2 1 -3 |
| 27.9 | 41 | 1 5 0 |
| 28.1 | 26 | 0 1 3 |

Structural model:
```
data_P4S7
_chemical_formula_sum 'P16 S28'
_cell_length_a 7.4754
_cell_length_b 18.6539
_cell_length_c 11.6197
_cell_angle_alpha 90.00
_cell_angle_beta 123.58
_cell_angle_gamma 90.00
_symmetry_space_group_name_H-M 'P 1 21/c 1'
_symmetry_Int_Tables_number 14
loop_
_symmetry_equiv_pos_as_xyz
'x,y,z'
'-x,-y,-z'
'-x,y+1/2,-z+1/2'
'x,-y+1/2,z+1/2'
loop_
_atom_site_label
_atom_site_fract_x
_atom_site_fract_y
_atom_site_fract_z
P1 0.0215 0.0459 0.2383
P2 0.1120 0.2047 0.1510
P3 0.3888 0.1702 0.4857
P4 0.3986 0.1237 0.2144
S1 0.1409 0.6335 0.3949
S2 0.1612 0.0330 0.7842
S3 0.1822 0.0821 0.4470
S4 0.2110 0.2471 0.8431
S5 0.2540 0.0226 0.1940
S6 0.3947 0.6421 0.0697
S7 0.4729 0.6970 0.8225
```